(1)
For Zn2CuNi, the GGA-PBE geometry in the Materials Project gives the calculated X-ray powder pattern in this record (Cu Kα X-rays).

The 6 most intense peaks (2θ = 10–90°), low angle first:
2θ (°)  d_spacing  intensity
43.64  2.074  51
43.79  2.067  100
63.43  1.467  15
63.88  1.457  7
80.26  1.196  30
80.57  1.192  15

Structure:
```
Zn2CuNi
1.0
2.933 0.000 0.000
0.000 2.933 0.000
0.000 0.000 5.829
Zn Cu Ni
2 1 1
direct
0.000 0.000 0.242
0.000 0.000 0.758
0.500 0.500 0.500
0.500 0.500 0.000
```

(2)
For Np3Cu, the GGA-PBE geometry in the Materials Project gives the calculated X-ray powder pattern in this record (Cu Kα X-rays).

The 11 most intense peaks (2θ = 10–90°), low angle first:
2θ (°)  d_spacing  intensity
23.94  3.717  11
27.72  3.219  6
39.60  2.276  100
46.81  1.941  6
49.02  1.858  2
57.24  1.609  17
62.93  1.477  3
64.77  1.439  2
71.85  1.314  36
76.97  1.239  2
85.29  1.138  12

Structure:
```
Np3Cu
1.0
6.437 0.000 0.000
0.000 6.437 0.000
0.000 0.000 6.437
Np Cu
12 4
direct
0.000 0.000 0.000
0.000 0.500 0.500
0.250 0.250 0.250
0.250 0.250 0.750
0.250 0.750 0.250
0.250 0.750 0.750
0.500 0.000 0.500
0.500 0.500 0.000
0.750 0.250 0.250
0.750 0.250 0.750
0.750 0.750 0.250
0.750 0.750 0.750
0.000 0.000 0.500
0.000 0.500 0.000
0.500 0.000 0.000
0.500 0.500 0.500
```

(3)
For NpCuPO, the GGA-PBE geometry in the Materials Project gives the calculated X-ray powder pattern in this record (Cu Kα X-rays).

The 12 most intense peaks (2θ = 10–90°), low angle first:
2θ (°)  d_spacing  intensity
26.02  3.424  86
32.28  2.773  100
32.80  2.730  28
33.62  2.665  25
35.42  2.535  38
40.38  2.234  40
48.29  1.885  36
50.74  1.799  22
55.67  1.651  23
56.69  1.624  21
59.28  1.559  36
59.61  1.551  21

Structure:
```
NpCuPO
1.0
3.769 0.000 0.000
0.000 3.769 0.000
0.000 0.000 8.190
Np Cu P O
2 2 2 2
direct
0.250 0.250 0.160
0.750 0.750 0.840
0.250 0.750 0.500
0.750 0.250 0.500
0.250 0.250 0.676
0.750 0.750 0.324
0.250 0.750 0.000
0.750 0.250 0.000
```

(4)
For RbNpCuS3, the GGA-PBE geometry in the Materials Project gives the calculated X-ray powder pattern in this record (Cu Kα X-rays).

The 12 most intense peaks (2θ = 10–90°), low angle first:
2θ (°)  d_spacing  intensity
12.13  7.295  100
21.16  4.198  53
22.99  3.868  15
24.40  3.648  31
28.88  3.091  81
30.16  2.963  27
33.82  2.650  50
34.97  2.566  31
41.07  2.198  16
42.15  2.144  37
43.10  2.099  21
45.21  2.006  16

Structure:
```
RbNpCuS3
1.0
2.006 -7.295 0.000
2.006 7.295 0.000
0.000 0.000 10.266
Rb Np Cu S
2 2 2 6
direct
0.242 0.758 0.750
0.758 0.242 0.250
0.500 0.500 0.000
0.500 0.500 0.500
0.035 0.965 0.250
0.965 0.035 0.750
0.118 0.882 0.059
0.118 0.882 0.441
0.445 0.555 0.250
0.555 0.445 0.750
0.882 0.118 0.559
0.882 0.118 0.941
```

(5)
For CuO2, the GGA-PBE geometry in the Materials Project gives the calculated X-ray powder pattern in this record (Cu Kα X-rays).

The 12 most intense peaks (2θ = 10–90°), low angle first:
2θ (°)  d_spacing  intensity
18.63  4.762  100
36.12  2.487  38
37.79  2.381  15
43.91  2.062  48
48.09  1.892  12
58.12  1.587  17
63.84  1.458  25
67.15  1.394  15
75.61  1.258  4
76.64  1.243  8
80.72  1.190  8
83.75  1.155  8

Structure:
```
CuO2
1.0
0.000 4.124 4.124
4.124 0.000 4.124
4.124 4.124 0.000
Cu O
4 8
direct
0.000 0.000 0.000
0.000 0.000 0.500
0.000 0.500 0.000
0.500 0.000 0.000
0.203 0.766 0.766
0.234 0.234 0.234
0.234 0.234 0.797
0.234 0.797 0.234
0.766 0.203 0.766
0.766 0.766 0.203
0.766 0.766 0.766
0.797 0.234 0.234
```

(6)
For CuO2, the GGA-PBE geometry in the Materials Project gives the calculated X-ray powder pattern in this record (Cu Kα X-rays).

The 12 most intense peaks (2θ = 10–90°), low angle first:
2θ (°)  d_spacing  intensity
15.58  5.687  100
15.77  5.619  52
22.24  3.997  47
31.46  2.844  17
34.52  2.599  9
35.38  2.537  14
41.37  2.183  6
41.53  2.175  20
47.53  1.913  13
53.27  1.720  13
58.12  1.587  7
58.36  1.581  9

Structure:
```
CuO2
1.0
2.748 0.000 0.000
1.374 5.619 0.000
1.374 0.000 5.687
Cu O
1 2
direct
0.000 0.000 0.000
0.398 0.215 0.984
0.598 0.792 0.001
```

(7)
For CuO2, the GGA-PBE geometry in the Materials Project gives the calculated X-ray powder pattern in this record (Cu Kα X-rays).

The 12 most intense peaks (2θ = 10–90°), low angle first:
2θ (°)  d_spacing  intensity
16.04  5.527  100
22.76  3.906  31
32.38  2.765  13
34.64  2.589  6
36.35  2.472  11
41.86  2.158  17
48.17  1.889  9
49.43  1.844  3
53.94  1.700  11
59.26  1.559  11
69.17  1.358  5
83.00  1.163  3

Structure:
```
CuO2
1.0
2.745 0.000 0.000
0.000 11.034 0.000
0.000 0.000 11.064
Cu O
4 8
direct
0.000 0.000 0.000
0.000 0.500 0.500
0.500 0.000 0.500
0.500 0.500 0.000
0.000 0.106 0.500
0.000 0.394 0.000
0.000 0.606 0.000
0.000 0.894 0.500
0.500 0.106 0.000
0.500 0.394 0.500
0.500 0.606 0.500
0.500 0.894 0.000
```

(8)
For Cu2O, the GGA-PBE geometry in the Materials Project gives the calculated X-ray powder pattern in this record (Cu Kα X-rays).

The 7 most intense peaks (2θ = 10–90°), low angle first:
2θ (°)  d_spacing  intensity
29.46  3.032  4
36.29  2.476  100
42.15  2.144  38
52.26  1.750  1
61.13  1.516  36
73.21  1.293  33
77.05  1.238  8

Structure:
```
Cu2O
1.0
4.288 0.000 0.000
0.000 4.288 0.000
0.000 0.000 4.288
Cu O
4 2
direct
0.000 0.000 0.000
0.000 0.500 0.500
0.500 0.000 0.500
0.500 0.500 0.000
0.250 0.250 0.250
0.750 0.750 0.750
```

(9)
For CuO2, the GGA-PBE geometry in the Materials Project gives the calculated X-ray powder pattern in this record (Cu Kα X-rays).

The 12 most intense peaks (2θ = 10–90°), low angle first:
2θ (°)  d_spacing  intensity
16.06  5.518  75
18.66  4.755  100
24.72  3.602  54
34.99  2.564  8
37.84  2.378  24
41.35  2.183  13
42.17  2.143  18
47.72  1.906  11
50.51  1.807  10
54.20  1.692  11
55.41  1.658  6
61.33  1.512  7

Structure:
```
CuO2
1.0
9.509 0.000 0.000
0.000 2.744 0.000
0.000 0.000 11.036
Cu O
4 8
direct
0.000 0.142 0.250
0.000 0.858 0.750
0.500 0.358 0.750
0.500 0.642 0.250
0.000 0.358 0.643
0.000 0.358 0.857
0.000 0.642 0.143
0.000 0.642 0.357
0.500 0.142 0.143
0.500 0.142 0.357
0.500 0.858 0.643
0.500 0.858 0.857
```

(10)
For CuO2, the GGA-PBE geometry in the Materials Project gives the calculated X-ray powder pattern in this record (Cu Kα X-rays).

The 12 most intense peaks (2θ = 10–90°), low angle first:
2θ (°)  d_spacing  intensity
19.46  4.562  100
35.82  2.507  44
37.64  2.390  12
39.51  2.281  5
44.30  2.045  52
48.81  1.866  12
59.59  1.552  16
63.15  1.472  16
65.73  1.421  12
66.76  1.401  17
80.37  1.195  7
87.18  1.118  5

Structure:
```
CuO2
1.0
2.945 0.000 0.000
-1.472 2.550 0.000
0.000 0.000 13.685
Cu O
3 6
direct
0.000 0.000 0.000
0.333 0.667 0.667
0.667 0.333 0.333
0.000 0.000 0.265
0.000 0.000 0.735
0.333 0.667 0.402
0.333 0.667 0.932
0.667 0.333 0.068
0.667 0.333 0.598
```

(11)
For Cu8O7, the GGA-PBE geometry in the Materials Project gives the calculated X-ray powder pattern in this record (Cu Kα X-rays).

The 12 most intense peaks (2θ = 10–90°), low angle first:
2θ (°)  d_spacing  intensity
35.15  2.553  51
35.32  2.541  100
35.62  2.521  29
36.14  2.485  47
43.78  2.068  35
56.98  1.616  30
58.34  1.582  28
63.21  1.471  12
63.78  1.459  14
64.07  1.453  10
74.73  1.270  16
75.03  1.266  10

Structure:
```
Cu8O7
1.0
5.744 -2.942 0.000
5.744 2.942 0.000
-2.957 0.000 5.105
Cu O
8 7
direct
0.000 0.000 0.000
0.008 0.502 0.028
0.244 0.244 0.528
0.245 0.751 0.543
0.502 0.008 0.028
0.507 0.507 0.036
0.751 0.245 0.543
0.765 0.765 0.528
0.057 0.057 0.434
0.188 0.188 0.158
0.315 0.315 0.902
0.437 0.437 0.659
0.563 0.563 0.396
0.698 0.698 0.158
0.817 0.817 0.887
```

(12)
For CuO2, the GGA-PBE geometry in the Materials Project gives the calculated X-ray powder pattern in this record (Cu Kα X-rays).

The 12 most intense peaks (2θ = 10–90°), low angle first:
2θ (°)  d_spacing  intensity
17.02  5.211  51
26.72  3.336  100
39.00  2.309  29
40.37  2.234  9
41.19  2.192  63
41.58  2.172  39
54.73  1.677  8
59.04  1.565  31
59.96  1.543  36
72.69  1.301  10
81.24  1.184  8
89.40  1.096  11

Structure:
```
CuO2
1.0
2.825 0.000 0.000
0.000 10.421 0.000
0.000 0.000 4.343
Cu O
4 8
direct
0.000 0.167 0.250
0.000 0.833 0.750
0.500 0.333 0.750
0.500 0.667 0.250
0.000 0.211 0.750
0.000 0.449 0.750
0.000 0.551 0.250
0.000 0.789 0.250
0.500 0.051 0.250
0.500 0.289 0.250
0.500 0.711 0.750
0.500 0.949 0.750
```